Calculated X-ray powder pattern of Ba2Cu7As6O24 for Cu Kα X-rays, from a DFT-relaxed cell (PBE, Alexandria).
No peak broadening, texture or thermal motion is included.

Peak list (12 most intense, 2θ = 5–70°, low angle first)
25.75 deg, I = 84.4, (1 2 0)
26.78 deg, I = 40.0, (1 2 1)
27.73 deg, I = 100.0, (1 -2 0)
29.77 deg, I = 44.2, (1 1 3)
30.24 deg, I = 95.4, (1 1 -3)
30.75 deg, I = 60.7, (1 -1 3)
31.05 deg, I = 51.1, (-1 1 3)
31.28 deg, I = 48.1, (0 2 -3)
32.55 deg, I = 58.0, (0 1 4)
33.76 deg, I = 82.8, (2 0 0)
34.57 deg, I = 33.2, (1 3 0)
45.06 deg, I = 42.0, (2 2 3)

Cell and atoms:
```
data_Ba2Cu7As6O24
_space_group_name_H-M_alt 'P 1'
_space_group_IT_number 1
_cell_length_a 5.325
_cell_length_b 8.584
_cell_length_c 11.597
_cell_angle_alpha 89.61
_cell_angle_beta 89.16
_cell_angle_gamma 85.71
loop_
_space_group_symop_operation_xyz
'x,y,z'
loop_
_atom_site_label
_atom_site_type_symbol
_atom_site_fract_x
_atom_site_fract_y
_atom_site_fract_z
_atom_site_occupancy
Ba1 Ba 0.000 0.052 0.324 1
Ba2 Ba 0.000 0.948 0.676 1
Cu1 Cu 0.000 0.000 0.000 1
Cu2 Cu 0.000 0.500 0.500 1
Cu3 Cu 0.456 0.582 0.683 1
Cu4 Cu 0.474 0.239 0.831 1
Cu5 Cu 0.500 0.500 0.000 1
Cu6 Cu 0.526 0.761 0.169 1
Cu7 Cu 0.544 0.418 0.317 1
As1 As 0.025 0.577 0.225 1
As2 As 0.457 0.238 0.555 1
As3 As 0.475 0.163 0.109 1
As4 As 0.525 0.837 0.891 1
As5 As 0.543 0.762 0.445 1
As6 As 0.975 0.423 0.775 1
O1 O 0.120 0.235 0.777 1
O2 O 0.180 0.515 0.353 1
O3 O 0.188 0.556 0.810 1
O4 O 0.209 0.892 0.886 1
O5 O 0.229 0.122 0.516 1
O6 O 0.279 0.592 0.130 1
O7 O 0.300 0.000 0.101 1
O8 O 0.306 0.426 0.585 1
O9 O 0.322 0.744 0.552 1
O10 O 0.380 0.289 0.995 1
O11 O 0.390 0.247 0.238 1
O12 O 0.398 0.828 0.319 1
O13 O 0.602 0.172 0.681 1
O14 O 0.610 0.753 0.762 1
O15 O 0.620 0.711 0.005 1
O16 O 0.678 0.256 0.448 1
O17 O 0.694 0.574 0.415 1
O18 O 0.700 0.000 0.899 1
O19 O 0.721 0.408 0.870 1
O20 O 0.771 0.878 0.484 1
O21 O 0.791 0.108 0.114 1
O22 O 0.812 0.444 0.190 1
O23 O 0.820 0.485 0.647 1
O24 O 0.880 0.765 0.223 1
```